Simulated X-ray diffraction stick pattern of V2PdO6 for a wavelength of 1.5418 Å, from a cell relaxed with GGA+U.

Atomic structure:
Cell: 6.7001 6.7001 6.0583 Å, 93.42 93.42 79.71°
Positions (direct):
V 0.1051 0.2952 0.2353
V 0.2952 0.1051 0.7353
V 0.7048 0.8949 0.2647
V 0.8949 0.7048 0.7647
Pd 0.4373 0.5627 0.7500
Pd 0.5627 0.4373 0.2500
O 0.1374 0.5756 0.7578
O 0.1404 0.1540 0.9726
O 0.1540 0.1404 0.4726
O 0.2594 0.4728 0.2571
O 0.4244 0.8626 0.7422
O 0.4728 0.2594 0.7571
O 0.5272 0.7406 0.2429
O 0.5756 0.1374 0.2578
O 0.7406 0.5272 0.7429
O 0.8460 0.8596 0.5274
O 0.8596 0.8460 0.0274
O 0.8626 0.4244 0.2422

Principal peaks in the range 10° ≤ 2θ ≤ 90°, most intense first:
13.4 deg, I 100; 28.1 deg, I 92; 29.6 deg, I 81; 30.3 deg, I 67; 20.7 deg, I 52; 31.6 deg, I 48; 20.4 deg, I 37; 32.0 deg, I 31; 19.4 deg, I 27; 47.9 deg, I 26

Simulated X-ray diffraction stick pattern of PdWO3 for a wavelength of 1.5418 Å, from a cell relaxed with GGA+U.

Atomic structure:
Cell: 5.3940 5.3940 6.9170 Å, 108.93 108.93 40.90°
Positions (direct):
Pd 0.0923 0.0923 0.4067
Pd 0.9077 0.9077 0.5933
W 0.3958 0.3958 0.1394
W 0.6042 0.6042 0.8606
O 0.1712 0.1712 0.9469
O 0.3509 0.3509 0.3738
O 0.4093 0.4093 0.8255
O 0.5907 0.5907 0.1745
O 0.6491 0.6491 0.6262
O 0.8288 0.8288 0.0531

Principal peaks in the range 10° ≤ 2θ ≤ 90°, most intense first:
30.5 deg, I 100; 27.4 deg, I 57; 36.0 deg, I 38; 46.4 deg, I 29; 38.0 deg, I 25; 48.3 deg, I 21; 38.7 deg, I 21; 19.0 deg, I 17; 18.7 deg, I 15; 56.4 deg, I 15